Entry 1:
For Li2CrFeO4, a PBE+U-relaxed structure gives the theoretical XRD peak list in this record (Cu Kα, 1.54184 Å).
Neutral-atom scattering factors, no anomalous dispersion.

Atomic structure:
```
Li2CrFeO4
1.0
-2.963 2.975 4.221
2.963 -2.975 4.221
2.963 2.975 -4.221
Li Cr Fe O
4 2 2 8
direct
0.000 0.000 0.000
0.500 0.000 0.000
0.500 0.000 0.500
0.500 0.500 0.500
0.000 0.500 0.500
0.500 0.500 0.000
0.000 0.000 0.500
0.000 0.500 0.000
0.229 0.742 0.487
0.243 0.258 0.515
0.243 0.728 0.985
0.245 0.258 0.987
0.755 0.742 0.013
0.757 0.272 0.015
0.757 0.742 0.485
0.771 0.258 0.513
```

Top 12 peaks for 10 to 90 degrees two-theta, sorted by position:
d [Å]  I/Imax
4.857  100
2.543  14
2.533  29
2.431  9
2.425  8
2.110  28
2.099  55
1.931  12
1.616  10
1.488  37
1.481  7
1.422  7



Entry 2:
For Li9Mn2Co5O16, a PBE+U-relaxed structure gives the theoretical XRD peak list in this record (Cu Kα, 1.54184 Å).
Neutral-atom scattering factors, no anomalous dispersion.

Atomic structure:
```
Li9Mn2Co5O16
1.0
5.092 0.000 0.000
-1.628 7.518 0.000
-1.553 -1.605 7.474
Li Mn Co O
9 2 5 16
direct
0.000 0.000 0.000
0.000 0.497 0.500
0.002 0.374 0.128
0.003 0.877 0.617
0.008 0.750 0.255
0.504 0.000 0.502
0.997 0.246 0.744
0.998 0.120 0.382
0.998 0.621 0.874
0.495 0.122 0.871
0.499 0.750 0.746
0.494 0.499 0.002
0.498 0.879 0.137
0.500 0.246 0.250
0.505 0.631 0.378
0.509 0.360 0.617
0.263 0.624 0.128
0.268 0.248 0.990
0.270 0.006 0.241
0.271 0.129 0.646
0.274 0.743 0.516
0.276 0.881 0.870
0.279 0.371 0.372
0.280 0.510 0.751
0.715 0.747 0.988
0.718 0.127 0.115
0.719 0.483 0.246
0.723 0.991 0.762
0.725 0.361 0.876
0.731 0.632 0.631
0.738 0.860 0.364
0.746 0.257 0.508
```

Top 12 peaks for 10 to 90 degrees two-theta, sorted by position:
d [Å]  I/Imax
4.829  100
2.526  15
2.488  14
2.469  12
2.106  29
2.069  27
2.052  26
1.909  9
1.478  8
1.474  15
1.466  14
1.447  7